The following is a simulated X-ray powder pattern of Pr2DyC2Cl2. It was derived from a PBE-relaxed structure, using λ = 1.5418 Å (Cu Kα).
No peak broadening, texture or thermal motion is included.

Main lines, most intense first (10 to 80 degrees two-theta):
- d = 2.482 Å, I 100
- d = 3.232 Å, I 97
- d = 1.681 Å, I 60
- d = 7.388 Å, I 52
- d = 2.285 Å, I 44
- d = 3.351 Å, I 39
- d = 1.445 Å, I 17
- d = 1.888 Å, I 17
- d = 1.354 Å, I 14
- d = 1.616 Å, I 14
- d = 2.961 Å, I 14
- d = 1.344 Å, I 12

Structure:
```
data_Pr2DyC2Cl2
_chemical_formula_sum 'Pr2 Dy1 C2 Cl2'
_symmetry_space_group_name_H-M 'P 1'
_symmetry_Int_Tables_number 1
_symmetry_space_group_name_Hall 'P 1'
_cell_length_a 8.065
_cell_length_b 8.065
_cell_length_c 8.065
_cell_angle_alpha 147.07
_cell_angle_beta 147.07
_cell_angle_gamma 47.25
loop_
_atom_site_label
_atom_site_type_symbol
_atom_site_fract_x
_atom_site_fract_y
_atom_site_fract_z
_atom_site_occupancy
Pr1 Pr 0.106 0.106 0.000 1
Pr2 Pr 0.894 0.894 0.000 1
Dy1 Dy 0.500 0.500 0.000 1
C1 C 0.000 0.500 0.500 1
C2 C 0.500 0.000 0.500 1
Cl1 Cl 0.307 0.307 0.000 1
Cl2 Cl 0.693 0.693 0.000 1
```